Entry 1:
This entry pairs a crystal structure of Ba5Pa3As8 with its theoretical X-ray diffraction stick pattern. Radiation: Cu Kα (weighted mean of Kα1 and Kα2). Structure: a PBE-relaxed structure.

Top 12 peaks for 15 to 90 degrees two-theta, sorted by position:
2θ 23.9, intensity 9
2θ 24.5, intensity 21
2θ 28.2, intensity 100
2θ 39.9, intensity 34
2θ 40.7, intensity 38
2θ 47.0, intensity 7
2θ 47.7, intensity 10
2θ 50.2, intensity 19
2θ 58.3, intensity 11
2θ 65.4, intensity 13
2θ 66.5, intensity 16
2θ 73.5, intensity 11

Cell and atoms:
Lattice parameters (Å, degrees): 9.0501 9.0501 9.0501 58.71 58.71 58.71
Sites, in units of the cell vectors:
Ba1 0.0000 0.0000 0.0000
Ba2 0.0000 0.5000 0.5000
Ba3 0.5000 0.0000 0.5000
Ba4 0.5000 0.5000 0.0000
Ba5 0.5000 0.5000 0.5000
Pa1 0.0000 0.0000 0.5000
Pa2 0.0000 0.5000 0.0000
Pa3 0.5000 0.0000 0.0000
As1 0.2038 0.7506 0.7506
As2 0.2336 0.2336 0.2336
As3 0.2494 0.2494 0.7962
As4 0.2494 0.7962 0.2494
As5 0.7506 0.2038 0.7506
As6 0.7506 0.7506 0.2038
As7 0.7664 0.7664 0.7664
As8 0.7962 0.2494 0.2494

***

Entry 2:
This entry pairs a crystal structure of Ba2AsPb2 with its theoretical X-ray diffraction stick pattern. Radiation: Cu Kα (weighted mean of Kα1 and Kα2). Structure: a PBE-relaxed structure.

Top 12 peaks for 15 to 90 degrees two-theta, sorted by position:
2θ 15.1, intensity 12
2θ 16.7, intensity 9
2θ 27.3, intensity 8
2θ 29.4, intensity 100
2θ 33.7, intensity 20
2θ 34.2, intensity 24
2θ 38.2, intensity 7
2θ 39.1, intensity 7
2θ 48.4, intensity 9
2θ 48.8, intensity 18
2θ 57.7, intensity 15
2θ 62.8, intensity 13

Cell and atoms:
Lattice parameters (Å, degrees): 8.2992 8.2992 5.3138 90.00 90.00 90.00
Sites, in units of the cell vectors:
Ba1 0.1739 0.3261 0.0000
Ba2 0.3261 0.8261 0.0000
Ba3 0.6739 0.1739 0.0000
Ba4 0.8261 0.6739 0.0000
As1 0.0000 0.0000 0.5000
As2 0.5000 0.5000 0.5000
Pb1 0.1340 0.6340 0.5000
Pb2 0.3660 0.1340 0.5000
Pb3 0.6340 0.8660 0.5000
Pb4 0.8660 0.3660 0.5000

***

Entry 3:
This entry pairs a crystal structure of Ba4AsPb with its theoretical X-ray diffraction stick pattern. Radiation: Cu Kα (weighted mean of Kα1 and Kα2). Structure: a PBE-relaxed structure.

Top 12 peaks for 15 to 90 degrees two-theta, sorted by position:
2θ 15.4, intensity 8
2θ 25.2, intensity 27
2θ 29.7, intensity 100
2θ 31.0, intensity 39
2θ 44.5, intensity 12
2θ 47.3, intensity 37
2θ 51.8, intensity 31
2θ 60.9, intensity 13
2θ 61.6, intensity 16
2θ 72.8, intensity 23
2θ 84.0, intensity 13
2θ 84.6, intensity 7

Cell and atoms:
Lattice parameters (Å, degrees): 7.0585 7.0585 7.0585 60.00 60.00 60.00
Sites, in units of the cell vectors:
Ba1 0.3758 0.3758 0.3758
Ba2 0.3758 0.3758 0.8726
Ba3 0.3758 0.8726 0.3758
Ba4 0.8726 0.3758 0.3758
As1 0.7500 0.7500 0.7500
Pb1 0.0000 0.0000 0.0000

***

Entry 4:
This entry pairs a crystal structure of Ba2As3Pt4Pb with its theoretical X-ray diffraction stick pattern. Radiation: Cu Kα (weighted mean of Kα1 and Kα2). Structure: a PBE-relaxed structure.

Top 12 peaks for 15 to 90 degrees two-theta, sorted by position:
2θ 16.8, intensity 13
2θ 25.5, intensity 14
2θ 31.9, intensity 31
2θ 32.1, intensity 100
2θ 38.8, intensity 64
2θ 44.0, intensity 34
2θ 47.3, intensity 17
2θ 51.1, intensity 17
2θ 56.0, intensity 22
2θ 62.7, intensity 15
2θ 66.0, intensity 26
2θ 73.8, intensity 15

Cell and atoms:
Lattice parameters (Å, degrees): 4.6432 4.6432 10.5653 90.00 90.00 90.00
Sites, in units of the cell vectors:
Ba1 0.0000 0.5000 0.2406
Ba2 0.5000 0.0000 0.7594
As1 0.0000 0.5000 0.8836
As2 0.5000 0.0000 0.1164
As3 0.5000 0.5000 0.5000
Pt1 0.0000 0.0000 0.0000
Pt2 0.0000 0.5000 0.6443
Pt3 0.5000 0.0000 0.3557
Pt4 0.5000 0.5000 0.0000
Pb1 0.0000 0.0000 0.5000

***

Entry 5:
This entry pairs a crystal structure of Ba2SrAsPb with its theoretical X-ray diffraction stick pattern. Radiation: Cu Kα (weighted mean of Kα1 and Kα2). Structure: a PBE-relaxed structure.

Top 12 peaks for 15 to 90 degrees two-theta, sorted by position:
2θ 20.6, intensity 26
2θ 25.0, intensity 100
2θ 28.2, intensity 65
2θ 30.3, intensity 27
2θ 35.2, intensity 14
2θ 40.4, intensity 25
2θ 41.9, intensity 45
2θ 48.1, intensity 34
2θ 50.7, intensity 15
2θ 51.3, intensity 25
2θ 66.7, intensity 13
2θ 74.4, intensity 17

Cell and atoms:
Lattice parameters (Å, degrees): 6.3201 6.3201 5.8994 90.00 90.00 90.00
Sites, in units of the cell vectors:
Ba1 0.0000 0.5000 0.0000
Ba2 0.5000 0.0000 0.0000
Sr1 0.0000 0.0000 0.5001
As1 0.0000 0.0000 0.0002
Pb1 0.5000 0.5000 0.4991

***

Entry 6:
This entry pairs a crystal structure of BaTl2As2Pb with its theoretical X-ray diffraction stick pattern. Radiation: Cu Kα (weighted mean of Kα1 and Kα2). Structure: a PBE-relaxed structure.

Top 12 peaks for 15 to 90 degrees two-theta, sorted by position:
2θ 23.1, intensity 22
2θ 28.1, intensity 100
2θ 28.7, intensity 45
2θ 29.7, intensity 30
2θ 30.2, intensity 68
2θ 33.1, intensity 36
2θ 34.8, intensity 36
2θ 35.0, intensity 23
2θ 35.6, intensity 22
2θ 36.6, intensity 46
2θ 51.3, intensity 24
2θ 54.3, intensity 28

Cell and atoms:
Lattice parameters (Å, degrees): 4.9145 9.7308 8.0298 90.00 90.00 90.00
Sites, in units of the cell vectors:
Ba1 0.0000 0.0993 0.0000
Ba2 0.0000 0.9007 0.5000
Tl1 0.0000 0.3258 0.3494
Tl2 0.0000 0.6742 0.8494
Tl3 0.5000 0.4392 0.0603
Tl4 0.5000 0.5608 0.5603
As1 0.0000 0.3597 0.7160
As2 0.0000 0.6403 0.2160
As3 0.5000 0.0868 0.2966
As4 0.5000 0.9132 0.7966
Pb1 0.5000 0.1966 0.6431
Pb2 0.5000 0.8034 0.1431

***

Entry 7:
This entry pairs a crystal structure of BaTlAsPb with its theoretical X-ray diffraction stick pattern. Radiation: Cu Kα (weighted mean of Kα1 and Kα2). Structure: a PBE-relaxed structure.

Top 12 peaks for 15 to 90 degrees two-theta, sorted by position:
2θ 27.6, intensity 41
2θ 28.3, intensity 100
2θ 28.4, intensity 18
2θ 34.9, intensity 44
2θ 35.3, intensity 29
2θ 35.6, intensity 31
2θ 42.6, intensity 17
2θ 50.9, intensity 23
2θ 51.5, intensity 15
2θ 54.2, intensity 13
2θ 56.4, intensity 15
2θ 59.1, intensity 13

Cell and atoms:
Lattice parameters (Å, degrees): 5.0899 4.2472 6.7704 90.00 111.96 90.00
Sites, in units of the cell vectors:
Ba1 0.0000 0.0000 0.0000
Tl1 0.2959 0.5000 0.5985
As1 0.5491 0.5000 0.0962
Pb1 0.7111 0.0000 0.4264

***

Entry 8:
This entry pairs a crystal structure of Ba2As5Pd3 with its theoretical X-ray diffraction stick pattern. Radiation: Cu Kα (weighted mean of Kα1 and Kα2). Structure: a PBE-relaxed structure.

Top 12 peaks for 15 to 90 degrees two-theta, sorted by position:
2θ 26.6, intensity 13
2θ 31.7, intensity 65
2θ 32.1, intensity 100
2θ 33.1, intensity 54
2θ 39.2, intensity 94
2θ 43.8, intensity 13
2θ 47.6, intensity 22
2θ 50.6, intensity 27
2θ 52.5, intensity 23
2θ 54.9, intensity 19
2θ 58.5, intensity 13
2θ 65.6, intensity 15

Cell and atoms:
Lattice parameters (Å, degrees): 8.8689 8.8689 8.8689 107.35 89.23 135.66
Sites, in units of the cell vectors:
Ba1 0.1262 0.2383 0.3646
Ba2 0.3738 0.7383 0.1121
Ba3 0.6262 0.2617 0.8879
Ba4 0.8738 0.7617 0.6354
As1 0.0200 0.7500 0.2700
As2 0.1111 0.6433 0.7544
As3 0.2500 0.2500 0.0000
As4 0.3889 0.1433 0.5322
As5 0.4800 0.7500 0.7300
As6 0.5200 0.2500 0.2700
As7 0.6111 0.8567 0.4678
As8 0.7500 0.7500 0.0000
As9 0.8889 0.3567 0.2456
As10 0.9800 0.2500 0.7300
Pd1 0.1346 0.8956 0.0302
Pd2 0.2500 0.7500 0.5000
Pd3 0.3654 0.3956 0.7610
Pd4 0.6346 0.6044 0.2390
Pd5 0.7500 0.2500 0.5000
Pd6 0.8654 0.1044 0.9698

***

Entry 9:
This entry pairs a crystal structure of Ba2As2Pd3 with its theoretical X-ray diffraction stick pattern. Radiation: Cu Kα (weighted mean of Kα1 and Kα2). Structure: a PBE-relaxed structure.

Top 12 peaks for 15 to 90 degrees two-theta, sorted by position:
2θ 17.2, intensity 30
2θ 26.0, intensity 33
2θ 28.7, intensity 45
2θ 29.1, intensity 100
2θ 30.1, intensity 36
2θ 30.4, intensity 41
2θ 30.7, intensity 46
2θ 31.8, intensity 39
2θ 33.7, intensity 66
2θ 34.4, intensity 89
2θ 45.3, intensity 25
2θ 49.6, intensity 49

Cell and atoms:
Lattice parameters (Å, degrees): 6.8914 6.7765 8.4868 90.00 110.87 90.00
Sites, in units of the cell vectors:
Ba1 0.2141 0.1223 0.3865
Ba2 0.2141 0.3777 0.8865
Ba3 0.7859 0.6223 0.1135
Ba4 0.7859 0.8777 0.6135
As1 0.3254 0.6838 0.5995
As2 0.3254 0.8162 0.0995
As3 0.6746 0.1838 0.9005
As4 0.6746 0.3162 0.4005
Pd1 0.0000 0.0000 0.0000
Pd2 0.0000 0.5000 0.5000
Pd3 0.4141 0.5934 0.3429
Pd4 0.4141 0.9066 0.8429
Pd5 0.5859 0.0934 0.1571
Pd6 0.5859 0.4066 0.6571

***

Entry 10:
This entry pairs a crystal structure of BaAs3Pd with its theoretical X-ray diffraction stick pattern. Radiation: Cu Kα (weighted mean of Kα1 and Kα2). Structure: a PBE-relaxed structure.

Top 12 peaks for 15 to 90 degrees two-theta, sorted by position:
2θ 24.3, intensity 46
2θ 25.9, intensity 18
2θ 29.4, intensity 24
2θ 30.1, intensity 38
2θ 33.2, intensity 31
2θ 34.3, intensity 100
2θ 36.1, intensity 34
2θ 43.8, intensity 20
2θ 48.7, intensity 41
2θ 54.6, intensity 15
2θ 55.7, intensity 15
2θ 64.4, intensity 15

Cell and atoms:
Lattice parameters (Å, degrees): 6.4507 6.8858 5.8558 90.00 90.00 90.00
Sites, in units of the cell vectors:
Ba1 0.0000 0.1811 0.0000
Ba2 0.5000 0.8189 0.5000
As1 0.0000 0.7791 0.6941
As2 0.2384 0.6683 0.0061
As3 0.2616 0.3317 0.5061
As4 0.5000 0.2209 0.1941
As5 0.7384 0.3317 0.5061
As6 0.7616 0.6683 0.0061
Pd1 0.0000 0.5801 0.3353
Pd2 0.5000 0.4199 0.8353

***

Entry 11:
This entry pairs a crystal structure of BaAs2Pd6 with its theoretical X-ray diffraction stick pattern. Radiation: Cu Kα (weighted mean of Kα1 and Kα2). Structure: a PBE-relaxed structure.

Top 12 peaks for 15 to 90 degrees two-theta, sorted by position:
2θ 27.9, intensity 32
2θ 34.7, intensity 26
2θ 35.2, intensity 100
2θ 40.9, intensity 82
2θ 42.8, intensity 81
2θ 56.2, intensity 30
2θ 62.1, intensity 29
2θ 73.3, intensity 21
2θ 73.4, intensity 23
2θ 77.1, intensity 24
2θ 88.6, intensity 13
2θ 88.7, intensity 13

Cell and atoms:
Lattice parameters (Å, degrees): 4.2284 4.2284 9.7957 90.00 90.00 90.00
Sites, in units of the cell vectors:
Ba1 0.0000 0.0000 0.0000
As1 0.5000 0.5000 0.1825
As2 0.5000 0.5000 0.8175
Pd1 0.0000 0.0000 0.5000
Pd2 0.0000 0.5000 0.3107
Pd3 0.0000 0.5000 0.6893
Pd4 0.5000 0.0000 0.3107
Pd5 0.5000 0.0000 0.6893
Pd6 0.5000 0.5000 0.5000

***

Entry 12:
This entry pairs a crystal structure of Ba3As2Pd2 with its theoretical X-ray diffraction stick pattern. Radiation: Cu Kα (weighted mean of Kα1 and Kα2). Structure: a PBE-relaxed structure.

Top 12 peaks for 15 to 90 degrees two-theta, sorted by position:
2θ 23.7, intensity 19
2θ 28.4, intensity 100
2θ 29.9, intensity 76
2θ 32.8, intensity 21
2θ 37.8, intensity 37
2θ 38.1, intensity 32
2θ 38.8, intensity 31
2θ 39.1, intensity 24
2θ 46.9, intensity 13
2θ 49.7, intensity 36
2θ 54.8, intensity 22
2θ 55.3, intensity 25

Cell and atoms:
Lattice parameters (Å, degrees): 10.1543 10.1543 10.1543 153.57 152.90 38.22
Sites, in units of the cell vectors:
Ba1 0.0000 0.0000 0.0000
Ba2 0.1826 0.6826 0.5000
Ba3 0.8174 0.3174 0.5000
As1 0.3676 0.8676 0.5000
As2 0.6324 0.1324 0.5000
Pd1 0.4254 0.4254 0.0000
Pd2 0.5746 0.5746 0.0000

***

Q: What is the formula in the seventh record?
A: BaTlAsPb